1.
Diffraction record for TiAs2PtSe. The powder diffractogram is simulated, not measured: it uses a cell relaxed with GGA-PBE and Cu Ka.
Neutral-atom scattering factors, no anomalous dispersion.

Principal peaks in the range 10 to 90 degrees two-theta, low angle first:
hkl, 2θ (°), I (rel.)
1 1 0, 26.0, 16
1 0 1, 26.3, 30
1 1 1, 32.2, 100
2 0 0, 37.1, 54
0 0 2, 38.0, 25
2 1 1, 46.0, 13
2 2 0, 53.4, 18
2 0 2, 54.1, 36
3 1 1, 63.8, 29
1 1 3, 65.0, 13
2 2 2, 67.4, 18
3 1 3, 89.0, 12

Structure:
```
data_TiAs2PtSe
_cell_length_a 4.849
_cell_length_b 4.849
_cell_length_c 4.739
_cell_angle_alpha 90.00
_cell_angle_beta 90.00
_cell_angle_gamma 90.00
_symmetry_space_group_name_H-M 'P 4/m m m'
_symmetry_Int_Tables_number 123
_symmetry_space_group_name_Hall '-P 4 2'
loop_
_atom_site_label
_atom_site_type_symbol
_atom_site_fract_x
_atom_site_fract_y
_atom_site_fract_z
_atom_site_occupancy
Ti1 Ti 0.000 0.000 0.000 1
As1 As 0.000 0.500 0.000 1
Pt1 Pt 0.500 0.500 0.500 1
Se1 Se 0.000 0.000 0.500 1
```

2.
Diffraction record for Nd2Er2Sb2C. The powder diffractogram is simulated, not measured: it uses a cell relaxed with GGA-PBE and Cu Ka.
Neutral-atom scattering factors, no anomalous dispersion.

Principal peaks in the range 10 to 90 degrees two-theta, low angle first:
hkl, 2θ (°), I (rel.)
0 0 2, 10.8, 23
1 1 2, 28.7, 74
0 0 6, 32.9, 29
1 1 4, 34.6, 100
2 0 0, 37.9, 57
2 0 6, 51.0, 34
2 2 0, 54.6, 20
3 1 2, 62.9, 17
1 1 10, 63.3, 15
2 2 6, 65.2, 16
3 1 4, 66.3, 30
3 1 10, 88.4, 13

Structure:
```
data_Nd2Er2Sb2C
_cell_length_a 4.753
_cell_length_b 4.753
_cell_length_c 16.338
_cell_angle_alpha 90.00
_cell_angle_beta 90.00
_cell_angle_gamma 90.00
_symmetry_space_group_name_H-M 'I 4/m m m'
_symmetry_Int_Tables_number 139
_symmetry_space_group_name_Hall '-I 4 2'
loop_
_atom_site_label
_atom_site_type_symbol
_atom_site_fract_x
_atom_site_fract_y
_atom_site_fract_z
_atom_site_occupancy
Nd1 Nd 0.000 0.000 0.163 1
Er1 Er 0.000 0.500 0.000 1
Sb1 Sb 0.000 0.000 0.364 1
C1 C 0.000 0.000 0.000 1
```

3.
Diffraction record for Tb2Er3Tm2. The powder diffractogram is simulated, not measured: it uses a cell relaxed with GGA-PBE and Cu Ka.
Neutral-atom scattering factors, no anomalous dispersion.

Principal peaks in the range 10 to 90 degrees two-theta, low angle first:
hkl, 2θ (°), I (rel.)
2 0 3, 31.2, 100
3 1 1, 36.2, 51
6 0 2, 52.1, 36
0 0 7, 62.0, 14
7 1 0, 62.1, 28
4 0 6, 65.1, 12
4 0 -8, 76.7, 2
6 2 2, 76.9, 4
3 1 8, 85.2, 12
10 0 1, 85.3, 6
7 1 -7, 87.9, 6
9 1 3, 88.1, 11

Structure:
```
data_Tb2Er3Tm2
_cell_length_a 11.631
_cell_length_b 3.506
_cell_length_c 10.541
_cell_angle_alpha 90.00
_cell_angle_beta 95.84
_cell_angle_gamma 90.00
_symmetry_space_group_name_H-M 'C 1 2/m 1'
_symmetry_Int_Tables_number 12
loop_
_symmetry_equiv_pos_as_xyz
'x,y,z'
'-x,-y,-z'
'-x,y,-z'
'x,-y,z'
'x+1/2,y+1/2,z'
'-x+1/2,-y+1/2,-z'
'-x+1/2,y+1/2,-z'
'x+1/2,-y+1/2,z'
loop_
_atom_site_label
_atom_site_type_symbol
_atom_site_fract_x
_atom_site_fract_y
_atom_site_fract_z
_atom_site_occupancy
Tb1 Tb 0.215 0.000 0.356 1
Er1 Er 0.000 0.500 0.500 1
Er2 Er 0.143 0.500 0.071 1
Tm1 Tm 0.071 0.000 0.787 1
```